The following is a theoretical powder diffractogram of Li3V2P4H2O16. It was derived from a GGA+U-relaxed structure, using Cu Kα (weighted mean of Kα1 and Kα2).
Intensities are scaled so that the largest is 100.

Cell and atoms:
abc: 4.8667 7.5747 8.0755
angles: 89.28 89.44 75.47
Atoms (fractional coordinates):
Li (0.0000, 0.0000, 0.0000)
Li (0.2143, 0.6886, 0.2658)
Li (0.5101, 0.4896, 0.7679)
V (0.1026, 0.8538, 0.6345)
V (0.6143, 0.3429, 0.1375)
P (0.2457, 0.0812, 0.2908)
P (0.4814, 0.1127, 0.7834)
P (0.7362, 0.5865, 0.4841)
P (0.9815, 0.6137, 0.9817)
H (0.0729, 0.3612, 0.6260)
H (0.5859, 0.8572, 0.1453)
O (0.0958, 0.6597, 0.8097)
O (0.1542, 0.0235, 0.4618)
O (0.2337, 0.5058, 0.0875)
O (0.2683, 0.9892, 0.8056)
O (0.3526, 0.2888, 0.6906)
O (0.3751, 0.8964, 0.1952)
O (0.4543, 0.1996, 0.3059)
O (0.4775, 0.6937, 0.5897)
O (0.6000, 0.1519, 0.9509)
O (0.6302, 0.5383, 0.3181)
O (0.7441, 0.9895, 0.6854)
O (0.7653, 0.4964, 0.9602)
O (0.8584, 0.7925, 0.0757)
O (0.8587, 0.4123, 0.5909)
O (0.9545, 0.7042, 0.4627)
O (0.9903, 0.1745, 0.1822)

The 12 most intense peaks (5 to 70 degrees two-theta), low angle first:
| index | d (Å) | 2theta | Rel. int. |
| --- | --- | --- | --- |
| 0 1 1 | 5.456 | 16.2 | 34.4 |
| 0 1 -1 | 5.400 | 16.4 | 37.7 |
| 1 1 1 | 3.960 | 22.5 | 26.1 |
| 1 1 -1 | 3.917 | 22.7 | 30.7 |
| 1 -1 0 | 3.576 | 24.9 | 100.0 |
| 0 1 2 | 3.552 | 25.1 | 34.3 |
| 0 1 -2 | 3.521 | 25.3 | 32.9 |
| 1 2 1 | 3.091 | 28.9 | 45.0 |
| 1 0 2 | 3.076 | 29.0 | 22.7 |
| 1 2 -1 | 3.058 | 29.2 | 68.4 |
| 0 2 2 | 2.728 | 32.8 | 30.7 |
| 0 2 -2 | 2.700 | 33.2 | 27.5 |